This entry pairs a crystal structure of Na2LiBiI6 with its calculated powder X-ray diffraction pattern. Radiation: Cu Kα (λ = 1.5418 Å). Structure: a crystal structure in the Materials Project, relaxed with PBE.
Lines closer than 0.1° are merged.

```
Na2LiBiI6
1.0
0.000 5.994 5.994
5.994 0.000 5.994
5.994 5.994 0.000
Na Li Bi I
2 1 1 6
direct
0.250 0.250 0.250
0.750 0.750 0.750
0.000 0.000 0.000
0.500 0.500 0.500
0.245 0.245 0.755
0.245 0.755 0.245
0.245 0.755 0.755
0.755 0.245 0.245
0.755 0.245 0.755
0.755 0.755 0.245
```

Peak list (8 most intense, 2θ from 10° to 80°, most intense first)
2θ/deg	intensity
29.81	100.0
14.78	88.3
42.66	74.4
25.74	66.8
33.43	48.9
70.22	33.2
50.50	29.3
12.79	27.5